For Ni3S, DFT lattice parameters and positions (GGA-PBE) gives the simulated powder XRD pattern in this record (Cu Kα).

Peak list (8 most intense, 10° ≤ 2θ ≤ 90°, by angle)
2theta	intensity
36.06	469
39.86	383
41.56	364
43.47	1000
45.53	296
46.17	624
48.02	410
52.57	227

Cell and atoms:
```
Ni3S
1.0
7.362 0.000 0.000
0.000 4.139 0.000
-1.253 0.000 6.300
Ni S
12 4
direct
0.032 0.000 0.193
0.161 0.523 0.996
0.184 0.764 0.580
0.316 0.264 0.420
0.339 0.023 0.004
0.468 0.500 0.807
0.532 0.500 0.193
0.661 0.023 0.996
0.684 0.264 0.580
0.816 0.764 0.420
0.839 0.523 0.004
0.968 0.000 0.807
0.195 0.262 0.710
0.305 0.762 0.290
0.695 0.762 0.710
0.805 0.262 0.290
```



For TaCo2Au, DFT lattice parameters and positions (GGA-PBE) gives the simulated powder XRD pattern in this record (Cu Kα).

Peak list (8 most intense, 10° ≤ 2θ ≤ 90°, by angle)
2theta	intensity
25.65	219
31.65	255
41.17	1000
45.37	378
52.85	131
66.11	122
72.04	189
80.93	277

Cell and atoms:
```
TaCo2Au
1.0
3.998 0.000 0.000
0.000 3.998 0.000
0.000 0.000 6.947
Ta Co Au
2 4 2
direct
0.000 0.000 0.000
0.500 0.500 0.500
0.000 0.500 0.250
0.000 0.500 0.750
0.500 0.000 0.250
0.500 0.000 0.750
0.000 0.000 0.500
0.500 0.500 0.000
```



For Pr4NO3, DFT lattice parameters and positions (GGA-PBE) gives the simulated powder XRD pattern in this record (Cu Kα).

Peak list (8 most intense, 10° ≤ 2θ ≤ 90°, by angle)
2theta	intensity
30.18	1000
34.99	804
50.32	556
59.72	150
59.84	304
62.75	186
81.83	126
84.53	160

Cell and atoms:
```
Pr4NO3
1.0
5.125 0.000 0.000
0.000 5.125 0.000
0.000 0.000 10.275
Pr N O
8 2 6
direct
0.000 0.000 0.245
0.000 0.000 0.755
0.000 0.500 0.000
0.000 0.500 0.500
0.500 0.000 0.000
0.500 0.000 0.500
0.500 0.500 0.255
0.500 0.500 0.745
0.000 0.000 0.000
0.500 0.500 0.500
0.000 0.000 0.500
0.000 0.500 0.250
0.000 0.500 0.750
0.500 0.000 0.250
0.500 0.000 0.750
0.500 0.500 0.000
```



For UNi7As2P2, DFT lattice parameters and positions (GGA-PBE) gives the simulated powder XRD pattern in this record (Cu Kα).

Peak list (8 most intense, 10° ≤ 2θ ≤ 90°, by angle)
2theta	intensity
22.10	463
28.69	206
34.95	274
37.29	1000
39.10	455
47.09	302
48.80	616
51.39	384

Cell and atoms:
```
UNi7As2P2
1.0
2.677 -2.630 0.000
2.677 2.630 0.000
-0.892 0.000 12.066
U Ni As P
1 7 2 2
direct
0.000 0.000 0.000
0.144 0.654 0.268
0.340 0.340 0.580
0.346 0.856 0.732
0.500 0.500 0.000
0.654 0.144 0.268
0.660 0.660 0.420
0.856 0.346 0.732
0.178 0.178 0.397
0.822 0.822 0.603
0.374 0.374 0.829
0.626 0.626 0.171
```



For Ba2Cd2SbO6, DFT lattice parameters and positions (GGA-PBE) gives the simulated powder XRD pattern in this record (Cu Kα).

Peak list (8 most intense, 10° ≤ 2θ ≤ 90°, by angle)
2theta	intensity
27.71	1000
30.86	673
41.95	286
49.00	197
51.02	385
57.22	166
66.44	145
78.62	106

Cell and atoms:
```
Ba2Cd2SbO6
1.0
3.220 1.859 5.651
-3.220 1.859 5.651
0.000 -3.718 5.651
Ba Cd Sb O
2 2 1 6
direct
0.209 0.209 0.209
0.791 0.791 0.791
0.418 0.418 0.418
0.582 0.582 0.582
0.000 0.000 0.000
0.204 0.782 0.782
0.218 0.218 0.796
0.218 0.796 0.218
0.782 0.204 0.782
0.782 0.782 0.204
0.796 0.218 0.218
```



For TlCdCo2Br8, DFT lattice parameters and positions (GGA-PBE) gives the simulated powder XRD pattern in this record (Cu Kα).

Peak list (8 most intense, 10° ≤ 2θ ≤ 90°, by angle)
2theta	intensity
19.48	599
26.48	271
27.46	360
28.04	1000
32.33	919
45.99	578
46.74	531
55.07	299

Cell and atoms:
```
TlCdCo2Br8
1.0
3.366 1.943 9.743
-3.366 1.943 9.743
0.000 -3.887 9.743
Tl Cd Co Br
1 1 2 8
direct
0.000 0.000 0.000
0.500 0.500 0.500
0.248 0.248 0.248
0.752 0.752 0.752
0.107 0.436 0.784
0.216 0.893 0.564
0.328 0.328 0.328
0.436 0.784 0.107
0.564 0.216 0.893
0.672 0.672 0.672
0.784 0.107 0.436
0.893 0.564 0.216
```



For K2CuP4O12, DFT lattice parameters and positions (GGA-PBE) gives the simulated powder XRD pattern in this record (Cu Kα).

Peak list (8 most intense, 10° ≤ 2θ ≤ 90°, by angle)
2theta	intensity
10.88	990
23.11	842
23.28	482
26.08	418
28.89	430
29.24	1000
30.95	603
33.06	637

Cell and atoms:
```
K2CuP4O12
1.0
5.459 -6.180 0.000
5.459 6.180 0.000
-1.259 0.000 8.221
K Cu P O
4 2 8 24
direct
0.129 0.871 0.500
0.168 0.443 0.712
0.443 0.168 0.212
0.871 0.129 0.000
0.482 0.795 0.853
0.795 0.482 0.353
0.132 0.507 0.184
0.136 0.816 0.019
0.443 0.594 0.407
0.507 0.132 0.684
0.594 0.443 0.907
0.686 0.829 0.280
0.816 0.136 0.519
0.829 0.686 0.780
0.026 0.476 0.319
0.095 0.405 0.023
0.149 0.703 0.168
0.154 0.989 0.098
0.244 0.767 0.890
0.319 0.489 0.257
0.351 0.643 0.545
0.405 0.095 0.523
0.476 0.026 0.819
0.489 0.319 0.757
0.491 0.581 0.934
0.508 0.758 0.328
0.581 0.491 0.434
0.643 0.351 0.045
0.657 0.928 0.142
0.693 0.793 0.765
0.703 0.149 0.668
0.758 0.508 0.828
0.766 0.946 0.444
0.767 0.244 0.390
0.793 0.693 0.265
0.928 0.657 0.642
0.946 0.766 0.944
0.989 0.154 0.598
```



For KZn2Cl, DFT lattice parameters and positions (GGA-PBE) gives the simulated powder XRD pattern in this record (Cu Kα).

Peak list (8 most intense, 10° ≤ 2θ ≤ 90°, by angle)
2theta	intensity
12.12	591
24.38	710
32.51	1000
41.05	688
46.63	342
49.99	281
53.31	306
60.90	232

Cell and atoms:
```
KZn2Cl
1.0
3.896 0.000 0.000
0.000 3.896 0.000
0.000 0.000 7.303
K Zn Cl
1 2 1
direct
0.000 0.000 0.000
0.000 0.000 0.457
0.500 0.500 0.458
0.500 0.500 0.835
```



For Ca2Ac6Os, DFT lattice parameters and positions (GGA-PBE) gives the simulated powder XRD pattern in this record (Cu Kα).

Peak list (8 most intense, 10° ≤ 2θ ≤ 90°, by angle)
2theta	intensity
13.98	670
18.47	255
25.88	571
28.18	1000
28.51	560
29.32	292
45.20	395
47.51	280

Cell and atoms:
```
Ca2Ac6Os
1.0
-4.127 4.804 4.937
4.127 -4.804 4.937
4.127 4.804 -4.937
Ca Ac Os
2 6 1
direct
0.206 0.000 0.206
0.794 0.000 0.794
0.199 0.500 0.699
0.292 0.042 0.751
0.292 0.541 0.249
0.708 0.459 0.751
0.708 0.958 0.249
0.801 0.500 0.301
0.500 0.500 0.000
```



For PdPtPb2, DFT lattice parameters and positions (GGA-PBE) gives the simulated powder XRD pattern in this record (Cu Kα).

Peak list (8 most intense, 10° ≤ 2θ ≤ 90°, by angle)
2theta	intensity
26.83	458
29.95	849
35.27	1000
36.65	629
37.62	980
37.91	942
49.38	434
55.01	344

Cell and atoms:
```
PdPtPb2
1.0
8.563 0.000 0.000
0.000 6.645 0.000
-1.276 0.000 3.085
Pd Pt Pb
2 2 4
direct
0.000 0.000 0.000
0.500 0.500 0.000
0.000 0.367 0.500
0.500 0.867 0.500
0.210 0.739 0.712
0.290 0.239 0.288
0.710 0.239 0.712
0.790 0.739 0.288
```



For ReNi2Sb, DFT lattice parameters and positions (GGA-PBE) gives the simulated powder XRD pattern in this record (Cu Kα).

Peak list (8 most intense, 10° ≤ 2θ ≤ 90°, by angle)
2theta	intensity
20.95	228
35.30	124
41.21	254
41.41	1000
42.64	228
60.80	156
75.25	166
77.22	152

Cell and atoms:
```
ReNi2Sb
1.0
3.122 0.000 0.000
0.000 4.381 0.000
0.000 0.000 8.481
Re Ni Sb
2 4 2
direct
0.000 0.000 0.000
0.500 0.500 0.500
0.000 0.500 0.244
0.000 0.500 0.756
0.500 0.000 0.256
0.500 0.000 0.744
0.000 0.000 0.500
0.500 0.500 0.000
```



For Ho6Mg5Sb, DFT lattice parameters and positions (GGA-PBE) gives the simulated powder XRD pattern in this record (Cu Kα).

Peak list (8 most intense, 10° ≤ 2θ ≤ 90°, by angle)
2theta	intensity
23.46	444
24.14	207
33.42	520
33.91	1000
41.65	201
47.98	188
60.05	383
61.00	183

Cell and atoms:
```
Ho6Mg5Sb
1.0
2.679 -8.051 0.000
2.679 8.051 0.000
0.000 0.000 7.373
Ho Mg Sb
6 5 1
direct
0.000 0.000 0.247
0.000 0.000 0.753
0.334 0.666 0.253
0.334 0.666 0.747
0.666 0.334 0.253
0.666 0.334 0.747
0.165 0.835 0.500
0.175 0.825 0.000
0.500 0.500 0.500
0.825 0.175 0.000
0.835 0.165 0.500
0.500 0.500 0.000
```